Record 1
Calculated powder diffraction line list
Compound: Nb4TlN5F
Radiation: a wavelength of 1.5418 Å
Structure: a structure optimized by DFT (PBE)
Neutral-atom scattering factors, no anomalous dispersion.

Peak list (10 most intense, 15 to 90 degrees two-theta, sorted by position)
two_theta	d_spacing	I_rel	hkl
23.67	3.759	26	1 0 1
29.38	3.040	100	1 0 2
32.16	2.783	92	1 1 1
40.30	2.238	31	0 0 4
43.29	2.090	29	1 1 3
43.72	2.071	50	2 0 0
53.55	1.711	37	2 1 2
60.62	1.527	19	1 1 5
60.96	1.520	35	2 0 4
73.02	1.296	17	3 1 1

Structural model:
```
data_Nb4TlN5F
_chemical_formula_sum 'Nb4 Tl1 N5 F1'
_cell_length_a 4.141
_cell_length_b 4.141
_cell_length_c 8.952
_cell_angle_alpha 90.00
_cell_angle_beta 90.00
_cell_angle_gamma 90.00
_space_group_name_H-M_alt 'P 1'
_space_group_IT_number 1
loop_
_space_group_symop_operation_xyz
'x,y,z'
loop_
_atom_site_label
_atom_site_fract_x
_atom_site_fract_y
_atom_site_fract_z
_atom_site_occupancy
Nb1 0.000 0.000 0.240 1
Nb2 0.000 0.000 0.760 1
Nb3 0.000 0.500 0.500 1
Nb4 0.500 0.000 0.500 1
Tl1 0.500 0.500 0.000 1
N1 0.000 0.500 0.263 1
N2 0.000 0.500 0.737 1
N3 0.500 0.000 0.263 1
N4 0.500 0.000 0.737 1
N5 0.500 0.500 0.500 1
F1 0.000 0.000 0.000 1
```

***

Record 2
Calculated powder diffraction line list
Compound: Nd4Hf3As4
Radiation: a wavelength of 1.5418 Å
Structure: a structure optimized by DFT (PBE)
Neutral-atom scattering factors, no anomalous dispersion.

Peak list (10 most intense, 15 to 90 degrees two-theta, sorted by position)
two_theta	d_spacing	I_rel	hkl
27.41	3.254	35	1 1 -1
28.58	3.124	57	1 1 1
31.32	2.856	44	1 1 -2
31.82	2.813	29	1 0 3
33.94	2.641	73	2 1 0
34.32	2.613	67	2 0 -3
36.13	2.486	49	2 1 1
36.54	2.459	100	0 1 3
37.11	2.423	23	2 1 -2
47.84	1.901	49	0 2 0

Structural model:
```
data_Nd4Hf3As4
_chemical_formula_sum 'Nd4 Hf3 As4'
_cell_length_a 7.417
_cell_length_b 3.802
_cell_length_c 9.772
_cell_angle_alpha 90.00
_cell_angle_beta 98.00
_cell_angle_gamma 90.00
_space_group_name_H-M_alt 'P 1'
_space_group_IT_number 1
loop_
_space_group_symop_operation_xyz
'x,y,z'
loop_
_atom_site_label
_atom_site_fract_x
_atom_site_fract_y
_atom_site_fract_z
_atom_site_occupancy
Nd1 0.000 0.000 0.000 1
Nd2 0.049 0.500 0.413 1
Nd3 0.416 0.000 0.586 1
Nd4 0.669 0.500 0.119 1
Hf1 0.295 0.500 0.838 1
Hf2 0.432 0.000 0.290 1
Hf3 0.782 0.500 0.727 1
As1 0.051 0.000 0.690 1
As2 0.263 0.500 0.126 1
As3 0.597 0.000 0.874 1
As4 0.652 0.500 0.448 1
```

***

Record 3
Calculated powder diffraction line list
Compound: Hg3C2N4Cl2
Radiation: a wavelength of 1.5418 Å
Structure: a structure optimized by DFT (PBE)
Neutral-atom scattering factors, no anomalous dispersion.

Peak list (10 most intense, 15 to 90 degrees two-theta, sorted by position)
two_theta	d_spacing	I_rel	hkl
16.69	5.310	64	0 0 2
22.28	3.990	30	1 2 1
22.51	3.951	80	1 1 2
23.41	3.800	49	0 2 2
26.63	3.347	100	2 1 0
27.67	3.224	38	1 3 0
31.58	2.833	54	2 1 2
34.75	2.582	37	0 1 4
35.38	2.537	27	1 4 0
37.71	2.386	29	0 2 4

Structural model:
```
data_Hg3C2N4Cl2
_chemical_formula_sum 'Hg12 C8 N16 Cl8'
_cell_length_a 7.043
_cell_length_b 10.880
_cell_length_c 10.621
_cell_angle_alpha 90.00
_cell_angle_beta 90.00
_cell_angle_gamma 90.00
_space_group_name_H-M_alt 'P 1'
_space_group_IT_number 1
loop_
_space_group_symop_operation_xyz
'x,y,z'
loop_
_atom_site_label
_atom_site_fract_x
_atom_site_fract_y
_atom_site_fract_z
_atom_site_occupancy
Hg1 0.012 0.053 0.000 1
Hg2 0.211 0.411 0.451 1
Hg3 0.226 0.706 0.140 1
Hg4 0.274 0.706 0.640 1
Hg5 0.289 0.411 0.951 1
Hg6 0.488 0.053 0.500 1
Hg7 0.512 0.947 0.000 1
Hg8 0.711 0.589 0.451 1
Hg9 0.726 0.294 0.140 1
Hg10 0.774 0.294 0.640 1
Hg11 0.789 0.589 0.951 1
Hg12 0.988 0.947 0.500 1
C1 0.103 0.456 0.198 1
C2 0.156 0.943 0.759 1
C3 0.344 0.943 0.259 1
C4 0.397 0.456 0.698 1
C5 0.603 0.544 0.198 1
C6 0.656 0.057 0.759 1
C7 0.844 0.057 0.259 1
C8 0.897 0.544 0.698 1
N1 0.037 0.400 0.287 1
N2 0.144 0.885 0.657 1
N3 0.155 0.515 0.102 1
N4 0.189 0.000 0.854 1
N5 0.311 0.000 0.354 1
N6 0.345 0.515 0.602 1
N7 0.356 0.885 0.157 1
N8 0.463 0.400 0.787 1
N9 0.537 0.600 0.287 1
N10 0.644 0.115 0.657 1
N11 0.655 0.485 0.102 1
N12 0.689 0.000 0.854 1
N13 0.811 0.000 0.354 1
N14 0.845 0.485 0.602 1
N15 0.856 0.115 0.157 1
N16 0.963 0.600 0.787 1
Cl1 0.071 0.701 0.397 1
Cl2 0.132 0.202 0.579 1
Cl3 0.368 0.202 0.079 1
Cl4 0.429 0.701 0.897 1
Cl5 0.571 0.299 0.397 1
Cl6 0.632 0.798 0.579 1
Cl7 0.868 0.798 0.079 1
Cl8 0.929 0.299 0.897 1
```

***

Record 4
Calculated powder diffraction line list
Compound: TbSmCu2Ge2
Radiation: a wavelength of 1.5418 Å
Structure: a structure optimized by DFT (PBE)
Neutral-atom scattering factors, no anomalous dispersion.

Peak list (10 most intense, 15 to 90 degrees two-theta, sorted by position)
two_theta	d_spacing	I_rel	hkl
24.08	3.696	16	1 0 0
34.00	2.637	100	0 1 2
42.36	2.134	48	1 1 0
48.37	1.882	10	0 0 4
54.74	1.677	4	1 0 4
55.39	1.659	24	2 0 2
66.22	1.411	22	1 1 4
72.12	1.310	22	2 1 2
77.48	1.232	8	3 0 0
80.92	1.188	7	1 0 6

Structural model:
```
data_TbSmCu2Ge2
_chemical_formula_sum 'Tb1 Sm1 Cu2 Ge2'
_cell_length_a 4.268
_cell_length_b 4.268
_cell_length_c 7.527
_cell_angle_alpha 90.00
_cell_angle_beta 90.00
_cell_angle_gamma 120.00
_space_group_name_H-M_alt 'P 1'
_space_group_IT_number 1
loop_
_space_group_symop_operation_xyz
'x,y,z'
loop_
_atom_site_label
_atom_site_fract_x
_atom_site_fract_y
_atom_site_fract_z
_atom_site_occupancy
Tb1 0.000 0.000 0.000 1
Sm1 0.000 0.000 0.499 1
Cu1 0.333 0.667 0.227 1
Cu2 0.667 0.333 0.737 1
Ge1 0.333 0.667 0.771 1
Ge2 0.667 0.333 0.263 1
```